[1]
The following is a theoretical powder diffraction line list of Pm12PrHo7. It was derived from the GGA-PBE geometry in Alexandria, using a wavelength of 1.5418 Å.
Lines closer than 0.1° are merged.

Top 6 peaks for 10 to 80 degrees two-theta, low angle first:
2θ/deg  I/Imax  index
28.66  46  1 0 4
31.07  100  0 3 3
31.64  76  4 0 1
33.90  36  0 4 2
48.37  18  3 0 6
56.01  31  4 3 4

Atomic structure:
a = 13.3884 Å, b = 13.3884 Å, c = 12.9266 Å
α = 90.00°, β = 90.00°, γ = 120.00°
Space group R-3m (No. 166, hexagonal axes)
One atom of each set of equivalent atoms:
1 Pm 0.0000 0.2622 0.0000 (multiplicity 18)
2 Pm 0.0891 0.1783 0.7691 (multiplicity 18)
3 Pr 0.0000 0.0000 0.5000 (multiplicity 3)
4 Ho 0.0000 0.0000 0.0000 (multiplicity 3)
5 Ho 0.0415 0.5208 0.1180 (multiplicity 18)

[2]
The following is a theoretical powder diffraction line list of Pm4Pr4Ho. It was derived from the GGA-PBE geometry in Alexandria, using a wavelength of 1.5418 Å.
Lines closer than 0.1° are merged.

Top 6 peaks for 10 to 80 degrees two-theta, low angle first:
2θ/deg  I/Imax  index
29.86  100  3 0 1
34.62  51  3 3 0
49.77  36  6 0 0
59.13  43  6 3 1
62.04  12  6 0 2
73.03  6  6 6 0

Atomic structure:
a = 10.997 Å, b = 10.997 Å, c = 5.179 Å
α = 90.00°, β = 90.00°, γ = 90.00°
Space group I4/mmm (No. 139)
One atom of each set of equivalent atoms:
1 Pm 0.000 0.333 0.000 (multiplicity 8)
2 Pr 0.166 0.166 0.500 (multiplicity 8)
3 Ho 0.000 0.000 0.000 (multiplicity 2)